Simulated powder XRD pattern of LiTlPO4 for CuKα, from a crystal structure in Alexandria, relaxed with PBE.

Crystal structure
```
LiTlPO4
1.0
-2.625 2.625 3.885
2.625 -2.625 3.885
2.625 2.625 -3.885
Li Tl P O
1 1 1 4
Cartesian
0.000 0.000 0.000 Li
0.000 0.000 3.885 Tl
0.000 2.625 1.943 P
0.707 1.539 1.071 O
-1.087 1.919 2.814 O
-0.707 3.712 1.071 O
1.087 3.332 2.814 O
```

Peak list (10 most intense, 15° ≤ 2θ ≤ 90°, by intensity)
2theta, I/Imax
20.41, 100
33.38, 46
40.12, 42
23.97, 23
38.76, 22
52.61, 16
60.65, 15
34.15, 15
41.51, 14
22.89, 13